Record 1
This entry pairs a crystal structure of ZrHg with its theoretical powder diffractogram. Radiation: Cu Ka. Structure: a cell relaxed with GGA-PBE.
Kinematic intensities with the Lorentz-polarization factor, no thermal factor.

Cell and atoms:
Cell lengths 3.169, 3.169, 4.313 Å; angles 90.00, 90.00, 90.00 degrees
Fractional coordinates of all 2 atoms:
1 Zr 0.000 0.000 0.000
2 Hg 0.500 0.500 0.500

Largest 10 diffraction maxima, in order of falling intensity, 15 to 90 degrees two-theta:
| d_spacing | intensity |
| --- | --- |
| 2.554 | 100.0 |
| 2.241 | 34.5 |
| 1.346 | 27.2 |
| 1.554 | 21.9 |
| 2.157 | 15.4 |
| 1.309 | 12.4 |
| 1.584 | 11.7 |
| 4.313 | 11.6 |
| 3.169 | 11.5 |
| 1.277 | 11.4 |



Record 2
This entry pairs a crystal structure of Hf9Re4S with its theoretical powder diffractogram. Radiation: Cu Ka. Structure: a cell relaxed with GGA-PBE.
Kinematic intensities with the Lorentz-polarization factor, no thermal factor.

Cell and atoms:
Cell lengths 8.560, 8.560, 8.559 Å; angles 90.00, 90.00, 120.00 degrees
Fractional coordinates of all 28 atoms:
1 Hf 0.085 0.543 0.250
2 Hf 0.196 0.392 0.552
3 Hf 0.196 0.392 0.948
4 Hf 0.196 0.804 0.552
5 Hf 0.196 0.804 0.948
6 Hf 0.392 0.196 0.052
7 Hf 0.392 0.196 0.448
8 Hf 0.457 0.543 0.250
9 Hf 0.457 0.915 0.250
10 Hf 0.543 0.085 0.750
11 Hf 0.543 0.457 0.750
12 Hf 0.608 0.804 0.552
13 Hf 0.608 0.804 0.948
14 Hf 0.804 0.196 0.052
15 Hf 0.804 0.196 0.448
16 Hf 0.804 0.608 0.052
17 Hf 0.804 0.608 0.448
18 Hf 0.915 0.457 0.750
19 Re 0.000 0.000 0.000
20 Re 0.000 0.000 0.500
21 Re 0.110 0.220 0.250
22 Re 0.110 0.890 0.250
23 Re 0.220 0.110 0.750
24 Re 0.780 0.890 0.250
25 Re 0.890 0.110 0.750
26 Re 0.890 0.780 0.750
27 S 0.333 0.667 0.750
28 S 0.667 0.333 0.250

Largest 10 diffraction maxima, in order of falling intensity, 15 to 90 degrees two-theta:
| d_spacing | intensity |
| --- | --- |
| 2.344 | 100.0 |
| 2.374 | 71.8 |
| 2.261 | 44.6 |
| 2.140 | 44.3 |
| 2.802 | 31.6 |
| 1.407 | 29.3 |
| 2.663 | 26.8 |
| 1.461 | 26.2 |
| 1.401 | 23.5 |
| 1.427 | 18.5 |